[1]
This entry pairs a crystal structure of Np2TcAs4 with its simulated X-ray powder pattern. Radiation: Cu Ka. Structure: a cell relaxed with PBE.
Peak positions follow from Bragg's law for the DFT cell and can differ from measured ones.

```
data_Np2TcAs4
_chemical_formula_sum 'Np2 Tc1 As4'
_cell_length_a 4.060
_cell_length_b 4.060
_cell_length_c 9.047
_cell_angle_alpha 90.00
_cell_angle_beta 90.00
_cell_angle_gamma 90.00
_space_group_name_H-M_alt 'P -4 m 2'
_space_group_IT_number 115
loop_
_space_group_symop_operation_xyz
'x,y,z'
'y,-x,-z'
'-x,-y,z'
'-y,x,-z'
'-x,y,z'
'-y,-x,-z'
'x,-y,z'
'y,x,-z'
loop_
_atom_site_label
_atom_site_type_symbol
_atom_site_fract_x
_atom_site_fract_y
_atom_site_fract_z
_atom_site_occupancy
Np1 Np 0.000 0.500 0.249 1
Tc1 Tc 0.000 0.000 0.500 1
As1 As 0.000 0.000 0.000 1
As2 As 0.000 0.500 0.650 1
As3 As 0.500 0.500 0.000 1
```

Principal peaks in the range 2θ = 15–90°, by intensity:
hkl	2θ (°)	I_rel
1 1 2	37.1	1000
1 0 1	24.0	431
2 0 0	44.6	265
3 1 2	77.2	204
2 1 3	59.4	166
1 0 5	55.6	144
2 1 5	74.0	125
1 1 0	31.2	120
2 1 1	51.3	119
2 0 4	61.4	96

=====

[2]
This entry pairs a crystal structure of Ga6SnCl12 with its simulated X-ray powder pattern. Radiation: Cu Ka. Structure: a cell relaxed with PBE.
Peak positions follow from Bragg's law for the DFT cell and can differ from measured ones.

```
data_Ga6SnCl12
_chemical_formula_sum 'Ga18 Sn3 Cl36'
_cell_length_a 19.2828
_cell_length_b 19.2828
_cell_length_c 5.9672
_cell_angle_alpha 90.00
_cell_angle_beta 90.00
_cell_angle_gamma 120.00
_space_group_name_H-M_alt 'R -3'
_space_group_IT_number 148
_space_group_name_Hall '-R 3'
loop_
_atom_site_label
_atom_site_type_symbol
_atom_site_fract_x
_atom_site_fract_y
_atom_site_fract_z
_atom_site_occupancy
Ga1 Ga 0.0445 0.9013 0.2419 1
Sn1 Sn 0.0000 0.0000 0.0000 1
Cl1 Cl 0.0437 0.1954 0.4996 1
Cl2 Cl 0.0754 0.8307 0.0241 1
```

Principal peaks in the range 2θ = 15–90°, by intensity:
hkl	2θ (°)	I_rel
1 3 1	24.3	1000
3 2 1	27.7	689
6 -1 1	33.5	383
2 3 2	38.2	258
6 3 0	43.0	256
4 1 3	52.4	239
6 -4 1	32.1	216
2 1 1	20.5	197
0 2 1	18.3	174
9 -1 1	49.0	173

=====

[3]
This entry pairs a crystal structure of Nd2DyPu with its simulated X-ray powder pattern. Radiation: Cu Ka. Structure: a cell relaxed with PBE.
Peak positions follow from Bragg's law for the DFT cell and can differ from measured ones.

```
data_Nd2DyPu
_chemical_formula_sum 'Nd6 Dy3 Pu3'
_cell_length_a 3.6054
_cell_length_b 3.6054
_cell_length_c 34.7697
_cell_angle_alpha 90.00
_cell_angle_beta 90.00
_cell_angle_gamma 120.00
_space_group_name_H-M_alt 'R 3 m'
_space_group_IT_number 160
_space_group_name_Hall 'R 3 -2"'
loop_
_atom_site_label
_atom_site_type_symbol
_atom_site_fract_x
_atom_site_fract_y
_atom_site_fract_z
_atom_site_occupancy
Nd1 Nd 0.0000 0.0000 0.0000 1
Nd2 Nd 0.0000 0.0000 0.1684 1
Dy1 Dy 0.0000 0.0000 0.4177 1
Pu1 Pu 0.0000 0.0000 0.5844 1
```

Principal peaks in the range 2θ = 15–90°, by intensity:
hkl	2θ (°)	I_rel
0 1 5	31.4	1000
1 0 7	33.9	792
0 0 12	30.9	475
1 1 12	60.5	428
0 1 2	29.1	380
1 1 0	50.6	364
0 1 17	53.6	232
1 0 10	38.8	200
1 1 24	86.1	163
1 0 19	58.5	163

=====

[4]
This entry pairs a crystal structure of TbCeY5 with its simulated X-ray powder pattern. Radiation: Cu Ka. Structure: a cell relaxed with PBE.
Peak positions follow from Bragg's law for the DFT cell and can differ from measured ones.

```
data_TbCeY5
_chemical_formula_sum 'Tb4 Ce4 Y20'
_cell_length_a 6.134
_cell_length_b 17.550
_cell_length_c 8.831
_cell_angle_alpha 90.00
_cell_angle_beta 102.74
_cell_angle_gamma 90.00
_space_group_name_H-M_alt 'C 1 2/c 1'
_space_group_IT_number 15
loop_
_space_group_symop_operation_xyz
'x,y,z'
'-x,-y,-z'
'-x,y,-z+1/2'
'x,-y,z+1/2'
'x+1/2,y+1/2,z'
'-x+1/2,-y+1/2,-z'
'-x+1/2,y+1/2,-z+1/2'
'x+1/2,-y+1/2,z+1/2'
loop_
_atom_site_label
_atom_site_type_symbol
_atom_site_fract_x
_atom_site_fract_y
_atom_site_fract_z
_atom_site_occupancy
Tb1 Tb 0.000 0.013 0.250 1
Ce1 Ce 0.000 0.500 0.000 1
Y1 Y 0.000 0.357 0.250 1
Y2 Y 0.114 0.155 0.962 1
Y3 Y 0.201 0.312 0.646 1
```

Principal peaks in the range 2θ = 15–90°, by intensity:
hkl	2θ (°)	I_rel
1 3 2	32.0	1000
0 6 0	30.6	437
1 1 -3	31.9	320
1 5 -2	34.3	310
1 1 -2	23.2	299
2 2 0	31.6	279
2 2 -1	31.1	275
1 3 -2	27.3	265
2 4 -1	35.9	224
0 2 4	43.3	159

=====

[5]
This entry pairs a crystal structure of InGaCuAgTe4 with its simulated X-ray powder pattern. Radiation: Cu Ka. Structure: a cell relaxed with PBE.
Peak positions follow from Bragg's law for the DFT cell and can differ from measured ones.

```
data_InGaCuAgTe4
_chemical_formula_sum 'In2 Ga2 Cu2 Ag2 Te8'
_cell_length_a 6.349
_cell_length_b 6.349
_cell_length_c 12.493
_cell_angle_alpha 90.00
_cell_angle_beta 90.00
_cell_angle_gamma 90.00
_space_group_name_H-M_alt 'I -4'
_space_group_IT_number 82
loop_
_space_group_symop_operation_xyz
'x,y,z'
'y,-x,-z'
'-x,-y,z'
'-y,x,-z'
'x+1/2,y+1/2,z+1/2'
'y+1/2,-x+1/2,-z+1/2'
'-x+1/2,-y+1/2,z+1/2'
'-y+1/2,x+1/2,-z+1/2'
loop_
_atom_site_label
_atom_site_type_symbol
_atom_site_fract_x
_atom_site_fract_y
_atom_site_fract_z
_atom_site_occupancy
In1 In 0.000 0.000 0.000 1
Ga1 Ga 0.000 0.500 0.750 1
Cu1 Cu 0.000 0.000 0.500 1
Ag1 Ag 0.000 0.500 0.250 1
Te1 Te 0.225 0.759 0.624 1
```

Principal peaks in the range 2θ = 15–90°, by intensity:
hkl	2θ (°)	I_rel
1 1 2	24.4	1000
2 0 4	40.5	501
3 1 2	47.6	301
2 2 0	40.2	248
1 1 6	48.2	158
2 4 4	73.2	146
1 3 6	64.5	130
2 2 8	73.9	78
4 0 0	58.1	76
1 5 2	78.3	58

=====

[6]
This entry pairs a crystal structure of Dy8YTm3 with its simulated X-ray powder pattern. Radiation: Cu Ka. Structure: a cell relaxed with PBE.
Peak positions follow from Bragg's law for the DFT cell and can differ from measured ones.

```
data_Dy8YTm3
_chemical_formula_sum 'Dy16 Y2 Tm6'
_cell_length_a 7.638
_cell_length_b 7.638
_cell_length_c 15.309
_cell_angle_alpha 90.00
_cell_angle_beta 90.00
_cell_angle_gamma 90.00
_space_group_name_H-M_alt 'I 4/m m m'
_space_group_IT_number 139
_space_group_name_Hall '-I 4 2'
loop_
_atom_site_label
_atom_site_type_symbol
_atom_site_fract_x
_atom_site_fract_y
_atom_site_fract_z
_atom_site_occupancy
Dy1 Dy 0.249 0.249 0.126 1
Y1 Y 0.000 0.000 0.500 1
Tm1 Tm 0.000 0.000 0.000 1
Tm2 Tm 0.000 0.500 0.250 1
```

Principal peaks in the range 2θ = 15–90°, by intensity:
hkl	2θ (°)	I_rel
2 2 0	33.1	1000
4 2 4	59.2	381
1 1 2	20.1	234
2 0 0	23.3	164
3 1 2	39.1	129
4 0 0	47.6	122
4 4 0	69.6	117
6 2 0	79.3	109
4 2 0	53.6	69
0 0 8	47.5	61